# Na3GaSb
Simulated powder diffraction line list, Cu Ka. Input: a DFT-relaxed cell (GGA-PBE, Alexandria).

Atomic structure:
```
data_Na3GaSb
_cell_length_a 10.3250
_cell_length_b 8.9098
_cell_length_c 6.5803
_cell_angle_alpha 90.00
_cell_angle_beta 90.00
_cell_angle_gamma 90.00
_space_group_name_H-M_alt 'I m a 2'
_space_group_IT_number 46
loop_
_space_group_symop_operation_xyz
'x,y,z'
'-x,-y,z'
'-x+1/2,y,z'
'x+1/2,-y,z'
'x+1/2,y+1/2,z+1/2'
'-x+1/2,-y+1/2,z+1/2'
'-x,y+1/2,z+1/2'
'x,-y+1/2,z+1/2'
loop_
_atom_site_label
_atom_site_type_symbol
_atom_site_fract_x
_atom_site_fract_y
_atom_site_fract_z
_atom_site_occupancy
Na1 Na 0.0090 0.2486 0.0000 1
Na2 Na 0.2500 0.0247 0.7487 1
Ga1 Ga 0.2500 0.6879 0.7507 1
Sb1 Sb 0.2500 0.1069 0.2499 1
```

Main lines, by intensity (2θ from 15° to 90°):
- 2θ = 32.26°, I = 100.0, hkl 2 0 2
- 2θ = 17.18°, I = 94.9, hkl 2 0 0
- 2θ = 16.75°, I = 66.9, hkl 0 1 1
- 2θ = 24.08°, I = 56.7, hkl 2 1 1
- 2θ = 34.75°, I = 40.6, hkl 4 0 0
- 2θ = 37.52°, I = 36.9, hkl 2 3 1
- 2θ = 31.34°, I = 32.1, hkl 1 3 0
- 2θ = 27.10°, I = 31.5, hkl 0 0 2